Structure and theoretical X-ray powder pattern of HfSe4Cl6 (a structure optimized by DFT (GGA-PBE); Cu Kα X-rays).
Intensities are scaled so that the largest is 100.

Atomic structure:
```
data_HfSe4Cl6
_chemical_formula_sum 'Hf4 Se16 Cl24'
_cell_length_a 11.1806
_cell_length_b 11.1806
_cell_length_c 11.1022
_cell_angle_alpha 90.00
_cell_angle_beta 90.00
_cell_angle_gamma 90.00
_space_group_name_H-M_alt 'P 1'
_space_group_IT_number 1
_space_group_name_Hall 'P 1'
loop_
_atom_site_label
_atom_site_type_symbol
_atom_site_fract_x
_atom_site_fract_y
_atom_site_fract_z
Hf1 Hf 0.0000 0.0000 0.0000
Hf2 Hf 0.0000 0.5000 0.5000
Hf3 Hf 0.5000 0.0000 0.5000
Hf4 Hf 0.5000 0.5000 0.0000
Se1 Se 0.0911 0.0911 0.4254
Se2 Se 0.0911 0.4089 0.9254
Se3 Se 0.1041 0.6041 0.0000
Se4 Se 0.1041 0.8959 0.5000
Se5 Se 0.3959 0.6041 0.5000
Se6 Se 0.3959 0.8959 0.0000
Se7 Se 0.4089 0.0911 0.9254
Se8 Se 0.4089 0.4089 0.4254
Se9 Se 0.5911 0.5911 0.5746
Se10 Se 0.5911 0.9089 0.0746
Se11 Se 0.6041 0.1041 0.0000
Se12 Se 0.6041 0.3959 0.5000
Se13 Se 0.8959 0.1041 0.5000
Se14 Se 0.8959 0.3959 0.0000
Se15 Se 0.9089 0.5911 0.0746
Se16 Se 0.9089 0.9089 0.5746
Cl1 Cl 0.0507 0.6710 0.6340
Cl2 Cl 0.0507 0.8290 0.1340
Cl3 Cl 0.1282 0.1282 0.1200
Cl4 Cl 0.1282 0.3718 0.6200
Cl5 Cl 0.1710 0.5507 0.3660
Cl6 Cl 0.1710 0.9493 0.8660
Cl7 Cl 0.3290 0.5507 0.8660
Cl8 Cl 0.3290 0.9493 0.3660
Cl9 Cl 0.3718 0.1282 0.6200
Cl10 Cl 0.3718 0.3718 0.1200
Cl11 Cl 0.4493 0.6710 0.1340
Cl12 Cl 0.4493 0.8290 0.6340
Cl13 Cl 0.5507 0.1710 0.3660
Cl14 Cl 0.5507 0.3290 0.8660
Cl15 Cl 0.6282 0.6282 0.8800
Cl16 Cl 0.6282 0.8718 0.3800
Cl17 Cl 0.6710 0.0507 0.6340
Cl18 Cl 0.6710 0.4493 0.1340
Cl19 Cl 0.8290 0.0507 0.1340
Cl20 Cl 0.8290 0.4493 0.6340
Cl21 Cl 0.8718 0.6282 0.3800
Cl22 Cl 0.8718 0.8718 0.8800
Cl23 Cl 0.9493 0.1710 0.8660
Cl24 Cl 0.9493 0.3290 0.3660
```

Largest 12 diffraction maxima, low angle first, 2θ = 15–90°:
two_theta  Rel. int.
15.9  100
16.0  96
22.6  73
23.9  17
26.5  42
27.7  26
30.0  18
35.1  53
42.0  74
48.2  29
48.4  17
48.9  14

***

Structure and theoretical X-ray powder pattern of Th2Ge4Pd3 (a structure optimized by DFT (GGA-PBE); Cu Kα X-rays).
Intensities are scaled so that the largest is 100.

Atomic structure:
```
data_Th2Ge4Pd3
_chemical_formula_sum 'Th4 Ge8 Pd6'
_cell_length_a 8.1579
_cell_length_b 8.1579
_cell_length_c 7.7489
_cell_angle_alpha 90.00
_cell_angle_beta 90.00
_cell_angle_gamma 137.39
_space_group_name_H-M_alt 'P 1'
_space_group_IT_number 1
_space_group_name_Hall 'P 1'
loop_
_atom_site_label
_atom_site_type_symbol
_atom_site_fract_x
_atom_site_fract_y
_atom_site_fract_z
Th1 Th 0.1131 0.8869 0.9134
Th2 Th 0.3869 0.6131 0.4134
Th3 Th 0.6131 0.3869 0.5866
Th4 Th 0.8869 0.1131 0.0866
Ge1 Ge 0.1804 0.8196 0.5259
Ge2 Ge 0.1976 0.3024 0.7500
Ge3 Ge 0.3024 0.1976 0.2500
Ge4 Ge 0.3196 0.6804 0.0259
Ge5 Ge 0.6804 0.3196 0.9741
Ge6 Ge 0.6976 0.8024 0.7500
Ge7 Ge 0.8024 0.6976 0.2500
Ge8 Ge 0.8196 0.1804 0.4741
Pd1 Pd 0.0000 0.0000 0.5000
Pd2 Pd 0.0295 0.4705 0.7500
Pd3 Pd 0.4705 0.0295 0.2500
Pd4 Pd 0.5000 0.5000 0.0000
Pd5 Pd 0.5295 0.9705 0.7500
Pd6 Pd 0.9705 0.5295 0.2500
```

Largest 12 diffraction maxima, low angle first, 2θ = 15–90°:
two_theta  Rel. int.
25.8  24
28.1  24
32.8  43
34.5  55
35.1  100
36.7  58
37.3  35
38.2  81
38.5  42
56.8  31
59.9  31
74.9  21

***

Structure and theoretical X-ray powder pattern of LaSmHoTm (a structure optimized by DFT (GGA-PBE); Cu Kα X-rays).
Intensities are scaled so that the largest is 100.

Atomic structure:
```
data_LaSmHoTm
_chemical_formula_sum 'La2 Sm2 Ho2 Tm2'
_cell_length_a 12.4424
_cell_length_b 5.8668
_cell_length_c 3.8302
_cell_angle_alpha 90.00
_cell_angle_beta 107.55
_cell_angle_gamma 90.00
_space_group_name_H-M_alt 'P 1'
_space_group_IT_number 1
_space_group_name_Hall 'P 1'
loop_
_atom_site_label
_atom_site_type_symbol
_atom_site_fract_x
_atom_site_fract_y
_atom_site_fract_z
La1 La 0.0000 0.0000 0.0000
La2 La 0.5000 0.5000 0.0000
Sm1 Sm 0.2320 0.5000 0.1867
Sm2 Sm 0.7320 0.0000 0.1867
Ho1 Ho 0.2558 0.0000 0.7178
Ho2 Ho 0.7558 0.5000 0.7178
Tm1 Tm 0.4908 0.0000 0.4678
Tm2 Tm 0.9908 0.5000 0.4678
```

Largest 12 diffraction maxima, low angle first, 2θ = 15–90°:
two_theta  Rel. int.
30.1  55
30.5  57
31.6  100
31.8  100
43.4  41
47.5  16
54.4  19
54.7  20
54.9  42
57.5  27
66.4  11
88.7  11